For PIr2Ru, DFT lattice parameters and positions (GGA-PBE) gives the theoretical powder diffraction line list in this record (CuKα).
Intensities are scaled so that the largest is 100.

```
8
Lattice="3.749 0.000 0.000 0.000 2.795 0.000 0.000 0.000 10.634" Properties=species:S:1:pos:R:3 pbc="T T T"
P 0.000 0.000 0.000
P 0.000 1.398 5.317
Ir 0.000 0.000 2.361
Ir 0.000 1.398 7.678
Ir 1.874 0.000 9.086
Ir 1.874 1.398 3.769
Ru 1.874 0.000 6.139
Ru 1.874 1.398 0.821
```

Peak list (8 most intense, 2θ = 10–80°, by angle)
2θ/deg	intensity
16.67	18
29.15	27
41.15	100
41.65	48
48.57	17
54.19	10
65.48	19
75.66	22

---

For LaTm, DFT lattice parameters and positions (GGA-PBE) gives the theoretical powder diffraction line list in this record (CuKα).
Intensities are scaled so that the largest is 100.

```
8
Lattice="0.000 5.097 5.097 5.097 0.000 5.097 5.097 5.097 0.000" Properties=species:S:1:pos:R:3 pbc="T T T"
La 0.000 0.000 0.000
La 2.549 2.549 0.000
La 2.549 0.000 2.549
La 0.000 2.549 2.549
Tm 5.097 2.549 2.549
Tm 2.549 5.097 2.549
Tm 2.549 2.549 5.097
Tm 5.097 5.097 5.097
```

Peak list (8 most intense, 2θ = 10–80°, by angle)
2θ/deg	intensity
15.05	1
29.05	1
30.37	100
35.21	51
50.66	36
60.22	43
63.19	12
74.46	6